Simulated powder diffraction line list
Compound: Na5CoCO5
Radiation: Cu Ka
Structure: the GGA+U geometry in Alexandria

Structure:
Cell: 4.4995 8.3871 4.9246 Å, 90.00 90.00 90.00°
Sites, in units of the cell vectors:
Na (0.0000, 0.0000, 0.0000)
Na (0.0000, 0.2820, 0.4694)
Na (0.0000, 0.7180, 0.4694)
Na (0.5000, 0.2576, 0.9783)
Na (0.5000, 0.7424, 0.9783)
Co (0.0000, 0.5000, 0.9672)
C (0.5000, 0.0000, 0.5422)
O (0.0000, 0.2889, 0.9668)
O (0.0000, 0.7111, 0.9668)
O (0.5000, 0.0000, 0.8070)
O (0.5000, 0.1358, 0.4130)
O (0.5000, 0.8642, 0.4130)

Main lines, in order of rising 2θ (10 to 80 degrees two-theta):
- (0 0 1), 18.01°, I = 44
- (0 1 1), 20.92°, I = 33
- (1 1 0), 22.42°, I = 80
- (1 2 1), 34.44°, I = 100
- (0 0 2), 36.49°, I = 55
- (2 0 0), 40.08°, I = 54
- (0 4 0), 43.14°, I = 19
- (0 4 1), 47.11°, I = 19
- (2 0 2), 55.31°, I = 28
- (1 2 3), 64.37°, I = 18